Entry 1:
This entry pairs a crystal structure of Sr2ZrMoO6 with its computed PXRD pattern. Radiation: λ = 1.5418 Å (Cu Kα). Structure: the PBE+U geometry in the Materials Project.
Lines closer than 0.1° are merged.

Main lines, by intensity (10 to 80 degrees two-theta):
30.42 deg, I 100; 30.65 deg, I 49; 54.34 deg, I 39; 43.89 deg, I 34; 63.29 deg, I 21; 53.90 deg, I 20; 43.21 deg, I 18; 63.82 deg, I 10; 71.33 deg, I 9; 72.32 deg, I 8; 72.45 deg, I 8; 37.58 deg, I 4

Atomic structure:
Unit cell a=4.125 b=4.125 c=8.376 alpha=90.00 beta=90.00 gamma=90.00
Space group P4/mmm (No. 123)
Inequivalent atoms, fractional coordinates:
Sr  0.000  0.000  0.249
Zr  0.500  0.500  0.000
Mo  0.500  0.500  0.500
O  0.000  0.500  0.000
O  0.000  0.500  0.500
O  0.500  0.500  0.252



Entry 2:
This entry pairs a crystal structure of Ta2MoO8 with its computed PXRD pattern. Radiation: λ = 1.5418 Å (Cu Kα). Structure: the PBE+U geometry in the Materials Project.
Lines closer than 0.1° are merged.

Main lines, by intensity (10 to 80 degrees two-theta):
26.18 deg, I 100; 26.43 deg, I 97; 17.77 deg, I 67; 19.72 deg, I 53; 23.03 deg, I 38; 34.12 deg, I 34; 50.61 deg, I 33; 34.87 deg, I 31; 31.75 deg, I 30; 32.10 deg, I 25; 50.23 deg, I 21; 46.63 deg, I 21

Atomic structure:
Unit cell a=19.970 b=6.112 c=5.147 alpha=90.00 beta=90.81 gamma=90.00
Space group C2/c (No. 15)
Inequivalent atoms, fractional coordinates:
Ta  0.132  0.182  0.249
Mo  0.000  0.340  0.750
O  0.052  0.384  0.431
O  0.058  0.159  0.920
O  0.162  0.078  0.577
O  0.186  0.390  0.146



Entry 3:
This entry pairs a crystal structure of Ta12MoO33 with its computed PXRD pattern. Radiation: λ = 1.5418 Å (Cu Kα). Structure: the PBE+U geometry in the Materials Project.
Lines closer than 0.1° are merged.

Main lines, by intensity (10 to 80 degrees two-theta):
24.32 deg, I 100; 25.02 deg, I 89; 23.58 deg, I 85; 38.43 deg, I 46; 35.17 deg, I 45; 32.73 deg, I 37; 32.36 deg, I 36; 30.85 deg, I 32; 47.08 deg, I 26; 31.19 deg, I 25; 17.35 deg, I 24; 18.75 deg, I 21

Atomic structure:
Unit cell a=22.588 b=3.860 c=17.966 alpha=90.00 beta=123.43 gamma=90.00
Space group C2 (No. 5)
Inequivalent atoms, fractional coordinates:
Ta  0.035  0.000  0.286
Ta  0.083  0.000  0.620
Ta  0.130  0.502  0.232
Ta  0.134  0.997  0.955
Ta  0.202  0.000  0.526
Ta  0.247  0.500  0.137
Mo  0.000  0.249  0.000
O  0.000  0.000  0.500
O  0.026  0.000  0.676
O  0.034  0.502  0.099
O  0.049  0.000  0.844
O  0.050  0.500  0.270
O  0.073  0.998  0.014
O  0.090  0.500  0.631
O  0.106  0.000  0.231
O  0.122  0.000  0.403
O  0.147  0.000  0.574
O  0.149  0.500  0.989
O  0.176  0.000  0.750
O  0.178  0.499  0.175
O  0.196  0.001  0.917
O  0.208  0.499  0.349
O  0.222  0.500  0.519
O  0.223  0.000  0.101



Entry 4:
This entry pairs a crystal structure of TbMoO5 with its computed PXRD pattern. Radiation: λ = 1.5418 Å (Cu Kα). Structure: the PBE+U geometry in the Materials Project.
Lines closer than 0.1° are merged.

Main lines, by intensity (10 to 80 degrees two-theta):
14.07 deg, I 100; 22.47 deg, I 70; 33.93 deg, I 58; 19.69 deg, I 55; 28.96 deg, I 54; 28.17 deg, I 48; 27.55 deg, I 48; 26.15 deg, I 44; 31.52 deg, I 42; 31.88 deg, I 40; 27.11 deg, I 39; 23.21 deg, I 36

Atomic structure:
Unit cell a=5.416 b=12.586 c=6.971 alpha=90.00 beta=116.90 gamma=90.00
Space group P2_1/c (No. 14)
Inequivalent atoms, fractional coordinates:
Tb  0.156  0.057  0.284
Mo  0.417  0.136  0.857
O  0.036  0.556  0.983
O  0.204  0.061  0.958
O  0.262  0.655  0.415
O  0.287  0.233  0.278
O  0.488  0.574  0.841



Entry 5:
This entry pairs a crystal structure of Tb2Mo4O15 with its computed PXRD pattern. Radiation: λ = 1.5418 Å (Cu Kα). Structure: the PBE+U geometry in the Materials Project.
Lines closer than 0.1° are merged.

Main lines, by intensity (10 to 80 degrees two-theta):
24.96 deg, I 100; 19.68 deg, I 57; 26.14 deg, I 45; 20.73 deg, I 36; 27.59 deg, I 33; 33.37 deg, I 32; 27.28 deg, I 31; 24.10 deg, I 28; 32.39 deg, I 24; 30.56 deg, I 23; 44.49 deg, I 21; 19.24 deg, I 20

Atomic structure:
Unit cell a=6.955 b=9.747 c=10.840 alpha=90.00 beta=105.00 gamma=90.00
Space group P2_1/c (No. 14)
Inequivalent atoms, fractional coordinates:
Tb  0.207  0.024  0.275
Mo  0.080  0.743  0.010
Mo  0.383  0.094  0.844
O  0.027  0.128  0.399
O  0.114  0.166  0.100
O  0.127  0.052  0.815
O  0.219  0.650  0.919
O  0.241  0.636  0.617
O  0.386  0.224  0.349
O  0.456  0.027  0.711
O  0.500  0.000  0.000



Entry 6:
This entry pairs a crystal structure of Tb2MoO6 with its computed PXRD pattern. Radiation: λ = 1.5418 Å (Cu Kα). Structure: the PBE+U geometry in the Materials Project.
Lines closer than 0.1° are merged.

Main lines, by intensity (10 to 80 degrees two-theta):
28.38 deg, I 100; 28.72 deg, I 92; 47.54 deg, I 27; 46.65 deg, I 26; 32.00 deg, I 23; 33.02 deg, I 20; 34.20 deg, I 19; 47.83 deg, I 15; 55.96 deg, I 13; 54.84 deg, I 12; 57.52 deg, I 12; 55.04 deg, I 11

Atomic structure:
Unit cell a=16.554 b=11.186 c=5.426 alpha=90.00 beta=108.14 gamma=90.00
Space group C2/c (No. 15)
Inequivalent atoms, fractional coordinates:
Tb  0.000  0.107  0.250
Tb  0.000  0.365  0.750
Tb  0.168  0.116  0.879
Mo  0.154  0.357  0.440
O  0.073  0.236  0.583
O  0.080  0.469  0.485
O  0.091  0.017  0.078
O  0.105  0.279  0.130
O  0.228  0.297  0.745
O  0.236  0.446  0.364